[1]
This entry pairs a crystal structure of CuP5Pt3 with its calculated powder diffraction line list. Radiation: Cu Ka. Structure: DFT lattice parameters and positions (PBE).
Neutral-atom scattering factors, no anomalous dispersion.

```
CuP5Pt3
1.0
6.687 0.000 0.000
-3.343 5.791 0.000
0.000 0.000 4.747
Cu P Pt
1 5 3
direct
0.000 0.000 0.000
0.000 0.000 0.500
0.333 0.667 0.220
0.333 0.667 0.780
0.667 0.333 0.220
0.667 0.333 0.780
0.000 0.500 0.500
0.500 0.000 0.500
0.500 0.500 0.500
```

Top 10 peaks for 5° ≤ 2θ ≤ 70°, sorted by position:
d/Å, Rel. int.
5.791, 33.0
4.747, 76.1
3.671, 44.3
2.895, 96.5
2.733, 28.3
2.472, 100.0
1.988, 17.1
1.836, 73.3
1.672, 31.9
1.577, 22.9

=====

[2]
This entry pairs a crystal structure of CuRe3P5 with its calculated powder diffraction line list. Radiation: Cu Ka. Structure: DFT lattice parameters and positions (PBE).
Neutral-atom scattering factors, no anomalous dispersion.

```
CuRe3P5
1.0
5.240 0.000 0.000
-2.620 4.538 0.000
0.000 0.000 6.890
Cu Re P
1 3 5
direct
0.000 0.000 0.000
0.000 0.500 0.500
0.500 0.000 0.500
0.500 0.500 0.500
0.000 0.000 0.500
0.333 0.667 0.213
0.333 0.667 0.787
0.667 0.333 0.213
0.667 0.333 0.787
```

Top 10 peaks for 5° ≤ 2θ ≤ 70°, sorted by position:
d/Å, Rel. int.
6.890, 100.0
4.538, 10.9
3.790, 27.7
3.445, 24.9
2.449, 13.1
2.269, 29.3
2.155, 40.0
1.895, 48.2
1.614, 13.5
1.372, 12.8

=====

[3]
This entry pairs a crystal structure of Cu3PSe3S with its calculated powder diffraction line list. Radiation: Cu Ka. Structure: DFT lattice parameters and positions (PBE).
Neutral-atom scattering factors, no anomalous dispersion.

```
Cu3PSe3S
1.0
3.848 -3.881 0.000
3.848 3.881 0.000
-3.785 0.000 5.389
Cu P Se S
3 1 3 1
direct
0.000 0.000 0.000
0.285 0.759 0.524
0.759 0.285 0.524
0.523 0.523 0.006
0.155 0.155 0.758
0.400 0.881 0.256
0.881 0.400 0.256
0.632 0.632 0.771
```

Top 10 peaks for 5° ≤ 2θ ≤ 70°, sorted by position:
d/Å, Rel. int.
3.149, 100.0
3.114, 37.2
1.940, 15.9
1.926, 47.1
1.911, 30.6
1.652, 8.9
1.647, 20.4
1.636, 11.7
1.630, 10.1
1.366, 9.2

=====

[4]
This entry pairs a crystal structure of Cu7PSe6 with its calculated powder diffraction line list. Radiation: Cu Ka. Structure: DFT lattice parameters and positions (PBE).
Neutral-atom scattering factors, no anomalous dispersion.

```
Cu7PSe6
1.0
14.393 0.000 0.000
0.000 7.147 0.000
0.000 0.000 10.112
Cu P Se
28 4 24
direct
0.041 0.075 0.225
0.056 0.439 0.567
0.122 0.684 0.413
0.151 0.019 0.500
0.212 0.722 0.883
0.232 0.413 0.185
0.234 0.540 0.643
0.266 0.040 0.143
0.268 0.913 0.685
0.288 0.222 0.383
0.349 0.519 0.000
0.378 0.184 0.913
0.444 0.939 0.067
0.459 0.575 0.725
0.541 0.425 0.225
0.556 0.061 0.567
0.622 0.816 0.413
0.651 0.481 0.500
0.712 0.778 0.883
0.732 0.087 0.185
0.734 0.960 0.643
0.766 0.460 0.143
0.768 0.587 0.685
0.788 0.278 0.383
0.849 0.981 0.000
0.878 0.316 0.913
0.944 0.561 0.067
0.959 0.925 0.725
0.125 0.248 0.893
0.375 0.748 0.393
0.625 0.252 0.893
0.875 0.752 0.393
0.003 0.249 0.756
0.110 0.767 0.648
0.119 0.510 0.016
0.122 0.285 0.371
0.126 0.991 0.018
0.249 0.746 0.263
0.251 0.246 0.763
0.374 0.491 0.518
0.378 0.785 0.871
0.381 0.010 0.516
0.390 0.267 0.148
0.497 0.749 0.256
0.503 0.251 0.756
0.610 0.733 0.648
0.619 0.990 0.016
0.622 0.215 0.371
0.626 0.509 0.018
0.749 0.754 0.263
0.751 0.254 0.763
0.874 0.009 0.518
0.878 0.715 0.871
0.881 0.490 0.516
0.890 0.233 0.148
0.997 0.751 0.256
```

Top 10 peaks for 5° ≤ 2θ ≤ 70°, sorted by position:
d/Å, Rel. int.
3.129, 22.3
3.063, 21.2
3.051, 51.6
2.932, 100.0
2.918, 90.2
1.954, 54.3
1.947, 83.2
1.790, 68.1
1.711, 16.2
1.525, 24.7